Simulated X-ray powder pattern of VCrIn for Cu Kα (weighted mean of Kα1 and Kα2), from a DFT-relaxed cell (PBE, Alexandria).
Neutral-atom scattering factors, no anomalous dispersion.

Top 6 peaks for 2θ from 10° to 90°, sorted by position:
| index | two_theta | I_rel |
| --- | --- | --- |
| 1 1 0 | 29.85 | 48 |
| 8 0 0 | 32.66 | 33 |
| 4 0 1 | 34.79 | 27 |
| 6 0 -1 | 38.85 | 51 |
| 7 1 0 | 41.52 | 100 |
| 1 1 1 | 43.10 | 69 |

```
data_VCrIn
_chemical_formula_sum 'V4 Cr4 In4'
_space_group_name_H-M_alt 'C 1 2/m 1'
_space_group_IT_number 12
_space_group_name_Hall '-C 2y'
_cell_length_a 21.938
_cell_length_b 3.021
_cell_length_c 2.952
_cell_angle_alpha 90.00
_cell_angle_beta 91.09
_cell_angle_gamma 90.00
loop_
_atom_site_label
_atom_site_type_symbol
_atom_site_fract_x
_atom_site_fract_y
_atom_site_fract_z
V1 V 0.156 0.000 0.326
Cr1 Cr 0.218 0.500 0.752
In1 In 0.065 0.500 0.803
```